(1)
Diffraction record for Hf4Sc3. The powder XRD pattern is simulated, not measured: it uses a structure optimized by DFT (PBE) and λ = 1.5418 Å (Cu Kα).

Crystal structure
```
data_Hf4Sc3
_symmetry_space_group_name_H-M 'P 1'
_symmetry_Int_Tables_number 1
_cell_length_a 8.577
_cell_length_b 8.577
_cell_length_c 5.069
_cell_angle_alpha 90.00
_cell_angle_beta 90.00
_cell_angle_gamma 120.00
loop_
_symmetry_equiv_pos_as_xyz
'x,y,z'
loop_
_atom_site_label
_atom_site_fract_x
_atom_site_fract_y
_atom_site_fract_z
Hf1 0.100 0.614 0.250
Hf2 0.333 0.667 0.750
Hf3 0.386 0.485 0.250
Hf4 0.485 0.100 0.750
Hf5 0.515 0.900 0.250
Hf6 0.614 0.515 0.750
Hf7 0.667 0.333 0.250
Hf8 0.900 0.386 0.750
Sc1 0.050 0.805 0.750
Sc2 0.195 0.245 0.750
Sc3 0.245 0.050 0.250
Sc4 0.755 0.950 0.750
Sc5 0.805 0.755 0.250
Sc6 0.950 0.195 0.250
```

The 6 most intense peaks (2θ from 10° to 90°), by intensity:
- d = 2.456 Å, rel. 100
- d = 7.428 Å, rel. 46
- d = 2.808 Å, rel. 24
- d = 2.535 Å, rel. 23
- d = 1.366 Å, rel. 19
- d = 1.448 Å, rel. 19

(2)
Diffraction record for Hf5ScSi4. The powder XRD pattern is simulated, not measured: it uses a structure optimized by DFT (PBE) and λ = 1.5418 Å (Cu Kα).

Crystal structure
```
data_Hf5ScSi4
_symmetry_space_group_name_H-M 'P 1'
_symmetry_Int_Tables_number 1
_cell_length_a 7.032
_cell_length_b 7.032
_cell_length_c 3.686
_cell_angle_alpha 90.00
_cell_angle_beta 90.00
_cell_angle_gamma 90.00
loop_
_symmetry_equiv_pos_as_xyz
'x,y,z'
loop_
_atom_site_label
_atom_site_fract_x
_atom_site_fract_y
_atom_site_fract_z
Hf1 0.000 0.000 0.000
Hf2 0.169 0.324 0.500
Hf3 0.324 0.831 0.500
Hf4 0.676 0.169 0.500
Hf5 0.831 0.676 0.500
Sc1 0.500 0.500 0.000
Si1 0.124 0.623 0.000
Si2 0.377 0.124 0.000
Si3 0.623 0.876 0.000
Si4 0.876 0.377 0.000
```

The 6 most intense peaks (2θ from 10° to 90°), by intensity:
- d = 2.392 Å, rel. 100
- d = 2.544 Å, rel. 60
- d = 3.145 Å, rel. 55
- d = 2.224 Å, rel. 39
- d = 1.548 Å, rel. 24
- d = 1.512 Å, rel. 24

(3)
Diffraction record for HfSc3Si8. The powder XRD pattern is simulated, not measured: it uses a structure optimized by DFT (PBE) and λ = 1.5418 Å (Cu Kα).

Crystal structure
```
data_HfSc3Si8
_symmetry_space_group_name_H-M 'P 1'
_symmetry_Int_Tables_number 1
_cell_length_a 3.665
_cell_length_b 3.744
_cell_length_c 14.536
_cell_angle_alpha 90.00
_cell_angle_beta 90.00
_cell_angle_gamma 90.00
loop_
_symmetry_equiv_pos_as_xyz
'x,y,z'
loop_
_atom_site_label
_atom_site_fract_x
_atom_site_fract_y
_atom_site_fract_z
Hf1 0.000 0.000 0.000
Sc1 0.000 0.500 0.500
Sc2 0.500 0.000 0.796
Sc3 0.500 0.500 0.294
Si1 0.000 0.000 0.346
Si2 0.000 0.000 0.647
Si3 0.000 0.500 0.146
Si4 0.000 0.500 0.841
Si5 0.500 0.000 0.147
Si6 0.500 0.000 0.450
Si7 0.500 0.500 0.648
Si8 0.500 0.500 0.950
```

The 6 most intense peaks (2θ from 10° to 90°), by intensity:
- d = 2.304 Å, rel. 100
- d = 7.268 Å, rel. 31
- d = 3.273 Å, rel. 28
- d = 3.628 Å, rel. 23
- d = 2.423 Å, rel. 19
- d = 2.963 Å, rel. 18

(4)
Diffraction record for HfScSiTe2. The powder XRD pattern is simulated, not measured: it uses a structure optimized by DFT (PBE) and λ = 1.5418 Å (Cu Kα).

Crystal structure
```
data_HfScSiTe2
_symmetry_space_group_name_H-M 'P 1'
_symmetry_Int_Tables_number 1
_cell_length_a 5.398
_cell_length_b 5.398
_cell_length_c 4.902
_cell_angle_alpha 90.00
_cell_angle_beta 90.00
_cell_angle_gamma 90.00
loop_
_symmetry_equiv_pos_as_xyz
'x,y,z'
loop_
_atom_site_label
_atom_site_fract_x
_atom_site_fract_y
_atom_site_fract_z
Hf1 0.000 0.000 0.000
Sc1 0.500 0.500 0.500
Si1 0.500 0.500 0.000
Te1 0.000 0.500 0.500
Te2 0.500 0.000 0.500
```

The 6 most intense peaks (2θ from 10° to 90°), by intensity:
- d = 3.012 Å, rel. 100
- d = 2.699 Å, rel. 55
- d = 3.629 Å, rel. 36
- d = 1.814 Å, rel. 34
- d = 1.612 Å, rel. 32
- d = 2.451 Å, rel. 21

(5)
Diffraction record for Hf5ScSn3. The powder XRD pattern is simulated, not measured: it uses a structure optimized by DFT (PBE) and λ = 1.5418 Å (Cu Kα).

Crystal structure
```
data_Hf5ScSn3
_symmetry_space_group_name_H-M 'P 1'
_symmetry_Int_Tables_number 1
_cell_length_a 9.927
_cell_length_b 9.927
_cell_length_c 9.927
_cell_angle_alpha 138.75
_cell_angle_beta 138.75
_cell_angle_gamma 59.75
loop_
_symmetry_equiv_pos_as_xyz
'x,y,z'
loop_
_atom_site_label
_atom_site_fract_x
_atom_site_fract_y
_atom_site_fract_z
Hf1 0.000 0.000 0.000
Hf2 0.066 0.566 0.889
Hf3 0.177 0.066 0.500
Hf4 0.323 0.823 0.889
Hf5 0.434 0.323 0.500
Hf6 0.500 0.500 0.000
Hf7 0.566 0.677 0.500
Hf8 0.677 0.177 0.111
Hf9 0.823 0.934 0.500
Hf10 0.934 0.434 0.111
Sc1 0.250 0.750 0.500
Sc2 0.750 0.250 0.500
Sn1 0.132 0.368 0.500
Sn2 0.250 0.250 0.000
Sn3 0.368 0.868 0.236
Sn4 0.632 0.132 0.764
Sn5 0.750 0.750 0.000
Sn6 0.868 0.632 0.500
```

The 6 most intense peaks (2θ from 10° to 90°), by intensity:
- d = 2.714 Å, rel. 100
- d = 2.746 Å, rel. 70
- d = 2.315 Å, rel. 34
- d = 2.473 Å, rel. 30
- d = 2.152 Å, rel. 29
- d = 2.212 Å, rel. 27

(6)
Diffraction record for HfScTc. The powder XRD pattern is simulated, not measured: it uses a structure optimized by DFT (PBE) and λ = 1.5418 Å (Cu Kα).

Crystal structure
```
data_HfScTc
_symmetry_space_group_name_H-M 'P 1'
_symmetry_Int_Tables_number 1
_cell_length_a 6.617
_cell_length_b 3.306
_cell_length_c 10.857
_cell_angle_alpha 90.00
_cell_angle_beta 90.00
_cell_angle_gamma 90.00
loop_
_symmetry_equiv_pos_as_xyz
'x,y,z'
loop_
_atom_site_label
_atom_site_fract_x
_atom_site_fract_y
_atom_site_fract_z
Hf1 0.119 0.250 0.114
Hf2 0.381 0.750 0.614
Hf3 0.619 0.250 0.386
Hf4 0.881 0.750 0.886
Sc1 0.128 0.250 0.393
Sc2 0.372 0.750 0.893
Sc3 0.628 0.250 0.107
Sc4 0.872 0.750 0.607
Tc1 0.127 0.250 0.747
Tc2 0.373 0.750 0.247
Tc3 0.627 0.250 0.753
Tc4 0.873 0.750 0.253
```

The 6 most intense peaks (2θ from 10° to 90°), by intensity:
- d = 2.441 Å, rel. 100
- d = 2.339 Å, rel. 55
- d = 1.369 Å, rel. 31
- d = 5.650 Å, rel. 24
- d = 4.197 Å, rel. 19
- d = 1.654 Å, rel. 19

(7)
Diffraction record for Hf3ScTl3Te8. The powder XRD pattern is simulated, not measured: it uses a structure optimized by DFT (PBE) and λ = 1.5418 Å (Cu Kα).

Crystal structure
```
data_Hf3ScTl3Te8
_symmetry_space_group_name_H-M 'P 1'
_symmetry_Int_Tables_number 1
_cell_length_a 9.734
_cell_length_b 9.734
_cell_length_c 9.734
_cell_angle_alpha 49.54
_cell_angle_beta 49.54
_cell_angle_gamma 49.54
loop_
_symmetry_equiv_pos_as_xyz
'x,y,z'
loop_
_atom_site_label
_atom_site_fract_x
_atom_site_fract_y
_atom_site_fract_z
Hf1 0.000 0.500 0.500
Hf2 0.500 0.000 0.500
Hf3 0.500 0.500 0.000
Sc1 0.000 0.000 0.000
Tl1 0.000 0.000 0.500
Tl2 0.000 0.500 0.000
Tl3 0.500 0.000 0.000
Te1 0.237 0.237 0.730
Te2 0.237 0.730 0.237
Te3 0.266 0.266 0.266
Te4 0.270 0.763 0.763
Te5 0.730 0.237 0.237
Te6 0.734 0.734 0.734
Te7 0.763 0.270 0.763
Te8 0.763 0.763 0.270
```

The 6 most intense peaks (2θ from 10° to 90°), by intensity:
- d = 3.091 Å, rel. 100
- d = 2.369 Å, rel. 39
- d = 2.039 Å, rel. 33
- d = 1.702 Å, rel. 19
- d = 1.307 Å, rel. 17
- d = 6.182 Å, rel. 13

(8)
Diffraction record for HfSc2Tl2Te6. The powder XRD pattern is simulated, not measured: it uses a structure optimized by DFT (PBE) and λ = 1.5418 Å (Cu Kα).

Crystal structure
```
data_HfSc2Tl2Te6
_symmetry_space_group_name_H-M 'P 1'
_symmetry_Int_Tables_number 1
_cell_length_a 7.214
_cell_length_b 7.214
_cell_length_c 8.633
_cell_angle_alpha 98.10
_cell_angle_beta 98.10
_cell_angle_gamma 120.09
loop_
_symmetry_equiv_pos_as_xyz
'x,y,z'
loop_
_atom_site_label
_atom_site_fract_x
_atom_site_fract_y
_atom_site_fract_z
Hf1 0.000 0.000 0.000
Sc1 0.331 0.669 0.000
Sc2 0.669 0.331 0.000
Tl1 0.166 0.834 0.500
Tl2 0.834 0.166 0.500
Te1 0.072 0.398 0.204
Te2 0.263 0.263 0.798
Te3 0.398 0.072 0.204
Te4 0.602 0.928 0.796
Te5 0.737 0.737 0.202
Te6 0.928 0.602 0.796
```

The 6 most intense peaks (2θ from 10° to 90°), by intensity:
- d = 3.118 Å, rel. 100
- d = 2.081 Å, rel. 35
- d = 2.356 Å, rel. 24
- d = 6.049 Å, rel. 19
- d = 2.348 Å, rel. 18
- d = 4.989 Å, rel. 12